# PrHo2ScS6
Theoretical powder X-ray diffraction pattern, Cu Kα, 1.54184 Å. Input: the PBE geometry in Alexandria.

Principal peaks in the range 2θ = 5–70°, low angle first:
2θ/deg	intensity
17.75	592
24.48	1000
25.91	886
29.80	254
35.95	494
39.41	787
44.85	485
45.70	498
52.12	245
59.47	158
61.90	193
65.61	176

Crystal structure
Lattice parameters (Å, degrees): 7.2962 7.2962 7.2962 56.23 56.23 56.23
Fractional coordinates of all 10 atoms:
Pr (0.0000, 0.0000, 0.0000)
Ho (0.2888, 0.2888, 0.2888)
Ho (0.7962, 0.7962, 0.7962)
Sc (0.4887, 0.4887, 0.4887)
S (0.0956, 0.6712, 0.4146)
S (0.2114, 0.5856, 0.8753)
S (0.4146, 0.0956, 0.6712)
S (0.5856, 0.8753, 0.2114)
S (0.6712, 0.4146, 0.0956)
S (0.8753, 0.2114, 0.5856)


# Pr2SmHoS5
Theoretical powder X-ray diffraction pattern, Cu Kα, 1.54184 Å. Input: the PBE geometry in Alexandria.

Principal peaks in the range 2θ = 5–70°, low angle first:
2θ/deg	intensity
8.49	299
25.03	1000
25.87	982
31.64	239
34.43	178
36.75	201
36.92	561
43.56	212
45.12	434
51.36	220
53.20	191
60.08	185

Crystal structure
Lattice parameters (Å, degrees): 4.8696 4.8696 10.4206 90.00 90.00 90.00
Fractional coordinates of all 9 atoms:
Pr (0.0000, 0.0000, 0.1978)
Pr (0.0000, 0.0000, 0.8022)
Sm (0.5000, 0.5000, 0.5000)
Ho (0.5000, 0.5000, 0.0000)
S (0.0000, 0.0000, 0.5000)
S (0.0000, 0.5000, 0.0000)
S (0.5000, 0.0000, 0.0000)
S (0.5000, 0.5000, 0.2516)
S (0.5000, 0.5000, 0.7484)


# TbPrHo2S6
Theoretical powder X-ray diffraction pattern, Cu Kα, 1.54184 Å. Input: the PBE geometry in Alexandria.

Principal peaks in the range 2θ = 5–70°, low angle first:
2θ/deg	intensity
17.49	389
24.17	1000
25.47	1000
35.40	497
38.88	762
44.12	488
44.90	484
51.52	248
52.33	154
58.43	161
60.87	192
64.67	193

Crystal structure
Lattice parameters (Å, degrees): 7.3851 7.3851 7.3851 56.52 56.52 56.52
Fractional coordinates of all 10 atoms:
Tb (0.0000, 0.0000, 0.0000)
Pr (0.5062, 0.5062, 0.5062)
Ho (0.3008, 0.3008, 0.3008)
Ho (0.7972, 0.7972, 0.7972)
S (0.0895, 0.4046, 0.6960)
S (0.1780, 0.9222, 0.5915)
S (0.4046, 0.6960, 0.0895)
S (0.5915, 0.1780, 0.9222)
S (0.6960, 0.0895, 0.4046)
S (0.9222, 0.5915, 0.1780)


# PrHoTeS
Theoretical powder X-ray diffraction pattern, Cu Kα, 1.54184 Å. Input: the PBE geometry in Alexandria.

Principal peaks in the range 2θ = 5–70°, low angle first:
2θ/deg	intensity
11.57	107
25.81	207
26.69	871
32.21	1000
37.63	808
44.97	581
47.54	135
53.06	132
56.39	200
60.04	206
62.60	125
67.51	282

Crystal structure
Lattice parameters (Å, degrees): 7.9965 7.9965 7.9965 29.20 29.20 29.20
Fractional coordinates of all 4 atoms:
Pr (0.0000, 0.0000, 0.0000)
Ho (0.1547, 0.1547, 0.1547)
Te (0.5721, 0.5721, 0.5721)
S (0.7512, 0.7512, 0.7512)


# PrHo2Sb
Theoretical powder X-ray diffraction pattern, Cu Kα, 1.54184 Å. Input: the PBE geometry in Alexandria.

Principal peaks in the range 2θ = 5–70°, low angle first:
2θ/deg	intensity
29.38	1000
30.31	189
30.57	427
31.44	344
31.99	603
34.44	504
35.95	228
36.19	327
37.44	225
43.73	275
56.82	239
57.38	269

Crystal structure
Lattice parameters (Å, degrees): 6.5333 6.5333 9.6083 90.00 90.00 143.05
Fractional coordinates of all 8 atoms:
Pr (0.0559, 0.9441, 0.7500)
Pr (0.9441, 0.0559, 0.2500)
Ho (0.3619, 0.6381, 0.5414)
Ho (0.3619, 0.6381, 0.9586)
Ho (0.6381, 0.3619, 0.0414)
Ho (0.6381, 0.3619, 0.4586)
Sb (0.2359, 0.7641, 0.2500)
Sb (0.7641, 0.2359, 0.7500)


# Pr4HoSb5
Theoretical powder X-ray diffraction pattern, Cu Kα, 1.54184 Å. Input: the PBE geometry in Alexandria.

Principal peaks in the range 2θ = 5–70°, low angle first:
2θ/deg	intensity
24.10	17
27.90	1000
39.87	765
47.13	9
49.36	274
57.65	128
65.24	351

Crystal structure
Lattice parameters (Å, degrees): 7.8314 7.8314 7.8314 99.61 99.61 131.77
Fractional coordinates of all 10 atoms:
Pr (0.0976, 0.6995, 0.7972)
Pr (0.3005, 0.0976, 0.3981)
Pr (0.6995, 0.9024, 0.6019)
Pr (0.9024, 0.3005, 0.2028)
Ho (0.5000, 0.5000, 0.0000)
Sb (0.0000, 0.0000, 0.0000)
Sb (0.2063, 0.4015, 0.6078)
Sb (0.4015, 0.7937, 0.1951)
Sb (0.5985, 0.2063, 0.8049)
Sb (0.7937, 0.5985, 0.3922)


# Pr3HoSb4
Theoretical powder X-ray diffraction pattern, Cu Kα, 1.54184 Å. Input: the PBE geometry in Alexandria.

Principal peaks in the range 2θ = 5–70°, low angle first:
2θ/deg	intensity
12.02	6
24.16	18
27.96	1000
39.96	765
47.24	10
49.48	274
57.79	128
65.40	350

Crystal structure
Lattice parameters (Å, degrees): 7.8130 7.8130 4.5156 90.00 90.00 109.49
Fractional coordinates of all 8 atoms:
Pr (0.0000, 0.0000, 0.0000)
Pr (0.0000, 0.5000, 0.5000)
Pr (0.5000, 0.0000, 0.5000)
Ho (0.5000, 0.5000, 0.0000)
Sb (0.2541, 0.7459, 0.0000)
Sb (0.2581, 0.2581, 0.5000)
Sb (0.7419, 0.7419, 0.5000)
Sb (0.7459, 0.2541, 0.0000)


# TbPrHo2Sb4
Theoretical powder X-ray diffraction pattern, Cu Kα, 1.54184 Å. Input: the PBE geometry in Alexandria.

Principal peaks in the range 2θ = 5–70°, low angle first:
2θ/deg	intensity
24.63	30
28.52	1000
40.77	763
48.22	16
50.51	273
59.03	127
64.94	7
66.84	350

Crystal structure
Lattice parameters (Å, degrees): 7.6674 7.6674 7.6674 131.82 131.82 70.51
Fractional coordinates of all 8 atoms:
Tb (0.0000, 0.0000, 0.0000)
Pr (0.5000, 0.5000, 0.0000)
Ho (0.2500, 0.7500, 0.5000)
Ho (0.7500, 0.2500, 0.5000)
Sb (0.0000, 0.5000, 0.5000)
Sb (0.2465, 0.2465, 0.0000)
Sb (0.5000, 0.0000, 0.5000)
Sb (0.7535, 0.7535, 0.0000)


# PrHo3Sc2
Theoretical powder X-ray diffraction pattern, Cu Kα, 1.54184 Å. Input: the PBE geometry in Alexandria.

Principal peaks in the range 2θ = 5–70°, low angle first:
2θ/deg	intensity
21.43	370
25.30	775
30.29	330
30.89	1000
31.95	532
33.20	388
33.39	777
36.14	312
40.34	888
41.19	335
59.36	457
61.68	278

Crystal structure
Lattice parameters (Å, degrees): 9.6176 9.6176 9.6176 137.06 58.23 142.60
Fractional coordinates of all 12 atoms:
Pr (0.2553, 0.0053, 0.2500)
Pr (0.7447, 0.9947, 0.7500)
Ho (0.1844, 0.7471, 0.4373)
Ho (0.1901, 0.2529, 0.9373)
Ho (0.2457, 0.4957, 0.7500)
Ho (0.7543, 0.5043, 0.2500)
Ho (0.8099, 0.7471, 0.0627)
Ho (0.8156, 0.2529, 0.5627)
Sc (0.3543, 0.0000, 0.8543)
Sc (0.3543, 0.5000, 0.3543)
Sc (0.6457, 0.0000, 0.1457)
Sc (0.6457, 0.5000, 0.6457)


# PrHo3Sc7
Theoretical powder X-ray diffraction pattern, Cu Kα, 1.54184 Å. Input: the PBE geometry in Alexandria.

Principal peaks in the range 2θ = 5–70°, low angle first:
2θ/deg	intensity
16.50	485
24.92	1000
32.80	462
33.36	352
34.10	175
34.46	836
34.69	486
36.93	141
47.48	257
59.63	169
59.76	208
65.64	162

Crystal structure
Lattice parameters (Å, degrees): 7.9980 7.9980 7.9980 140.08 97.77 95.62
Fractional coordinates of all 11 atoms:
Pr (0.0000, 0.0000, 0.0000)
Ho (0.2915, 0.5000, 0.7915)
Ho (0.5000, 0.0000, 0.5000)
Ho (0.7085, 0.5000, 0.2085)
Sc (0.0000, 0.5000, 0.5000)
Sc (0.0918, 0.7813, 0.3106)
Sc (0.2933, 0.2933, 0.0000)
Sc (0.4707, 0.7813, 0.6894)
Sc (0.5293, 0.2187, 0.3106)
Sc (0.7067, 0.7067, 0.0000)
Sc (0.9082, 0.2187, 0.6894)


# Pr2Ho12Sc
Theoretical powder X-ray diffraction pattern, Cu Kα, 1.54184 Å. Input: the PBE geometry in Alexandria.

Principal peaks in the range 2θ = 5–70°, low angle first:
2θ/deg	intensity
29.28	212
30.02	334
30.87	1000
31.84	739
33.26	654
33.42	360
33.61	164
37.32	529
52.03	186
56.16	327
62.30	218
63.16	206

Crystal structure
Lattice parameters (Å, degrees): 3.5152 5.6219 24.5527 90.00 90.00 90.00
Fractional coordinates of all 15 atoms:
Pr (0.0000, 0.0000, 0.2351)
Pr (0.0000, 0.0000, 0.7649)
Ho (0.0000, 0.5000, 0.0626)
Ho (0.0000, 0.5000, 0.4270)
Ho (0.0000, 0.5000, 0.5730)
Ho (0.0000, 0.5000, 0.9374)
Ho (0.5000, 0.0000, 0.0856)
Ho (0.5000, 0.0000, 0.3800)
Ho (0.5000, 0.0000, 0.6200)
Ho (0.5000, 0.0000, 0.9144)
Ho (0.5000, 0.5000, 0.1743)
Ho (0.5000, 0.5000, 0.3054)
Ho (0.5000, 0.5000, 0.6946)
Ho (0.5000, 0.5000, 0.8257)
Sc (0.0000, 0.0000, 0.5000)


# PrHo6Sc6
Theoretical powder X-ray diffraction pattern, Cu Kα, 1.54184 Å. Input: the PBE geometry in Alexandria.

Principal peaks in the range 2θ = 5–70°, low angle first:
2θ/deg	intensity
16.23	165
27.88	1000
29.35	375
32.42	730
36.35	317
36.68	226
37.41	196
49.32	213
50.24	169
52.26	188
57.60	235
58.30	336

Crystal structure
Lattice parameters (Å, degrees): 6.4010 6.4010 10.9245 90.00 90.00 120.00
Fractional coordinates of all 13 atoms:
Pr (0.0000, 0.0000, 0.0000)
Ho (0.0000, 0.0000, 0.3427)
Ho (0.0000, 0.0000, 0.6573)
Ho (0.3333, 0.6667, 0.0000)
Ho (0.3333, 0.6667, 0.5000)
Ho (0.6667, 0.3333, 0.0000)
Ho (0.6667, 0.3333, 0.5000)
Sc (0.0000, 0.5000, 0.2430)
Sc (0.0000, 0.5000, 0.7570)
Sc (0.5000, 0.0000, 0.2430)
Sc (0.5000, 0.0000, 0.7570)
Sc (0.5000, 0.5000, 0.2430)
Sc (0.5000, 0.5000, 0.7570)